Record 1
Calculated X-ray diffraction stick pattern
Compound: CuAg
Radiation: Cu Kα X-rays
Structure: a PBE-relaxed structure
Lines closer than 0.1° are merged.

The 8 most intense peaks (15° ≤ 2θ ≤ 90°), sorted by position:
2.405 Å, 37.4 deg, intensity 30
2.345 Å, 38.4 deg, intensity 19
2.283 Å, 39.5 deg, intensity 100
2.278 Å, 39.6 deg, intensity 52
2.046 Å, 44.3 deg, intensity 29
1.960 Å, 46.3 deg, intensity 33
1.955 Å, 46.4 deg, intensity 19
1.403 Å, 66.6 deg, intensity 35

Structural model:
```
CuAg
1.0
2.806 0.000 0.000
1.401 2.431 0.000
0.050 0.105 26.450
Cu Ag
6 6
Direct
0.000 0.000 0.000
0.007 0.993 0.221
0.334 0.329 0.147
0.353 0.314 0.367
0.664 0.664 0.073
0.677 0.657 0.294
0.039 0.960 0.451
0.067 0.939 0.729
0.348 0.330 0.916
0.398 0.275 0.637
0.712 0.619 0.544
0.718 0.629 0.822
```

Record 2
Calculated X-ray diffraction stick pattern
Compound: Cu2Tc
Radiation: Cu Kα X-rays
Structure: a PBE-relaxed structure
Lines closer than 0.1° are merged.

The 7 most intense peaks (15° ≤ 2θ ≤ 90°), sorted by position:
2.363 Å, 38.1 deg, intensity 42
2.015 Å, 45.0 deg, intensity 100
1.929 Å, 47.1 deg, intensity 28
1.671 Å, 55.0 deg, intensity 1
1.364 Å, 68.8 deg, intensity 14
1.286 Å, 73.7 deg, intensity 28
1.181 Å, 81.5 deg, intensity 23

Structural model:
```
Cu2Tc
1.0
0.000 3.341 3.341
3.341 0.000 3.341
3.341 3.341 0.000
Cu Tc
4 2
Direct
0.000 0.000 0.000
0.000 0.000 0.500
0.000 0.500 0.000
0.500 0.000 0.000
0.375 0.375 0.375
0.625 0.625 0.625
```

Record 3
Calculated X-ray diffraction stick pattern
Compound: RbSn5Mo3
Radiation: Cu Kα X-rays
Structure: a PBE-relaxed structure
Lines closer than 0.1° are merged.

The 8 most intense peaks (15° ≤ 2θ ≤ 90°), sorted by position:
3.299 Å, 27.0 deg, intensity 74
2.775 Å, 32.3 deg, intensity 70
2.367 Å, 38.0 deg, intensity 34
2.323 Å, 38.8 deg, intensity 30
2.269 Å, 39.7 deg, intensity 33
2.124 Å, 42.6 deg, intensity 100
1.756 Å, 52.1 deg, intensity 32
1.280 Å, 74.1 deg, intensity 27

Structural model:
```
RbSn5Mo3
1.0
5.550 0.000 0.000
-2.775 4.806 0.000
0.000 0.000 9.075
Rb Sn Mo
1 5 3
Direct
0.000 0.000 0.000
0.000 0.000 0.500
0.333 0.667 0.233
0.333 0.667 0.767
0.667 0.333 0.233
0.667 0.333 0.767
0.000 0.500 0.500
0.500 0.000 0.500
0.500 0.500 0.500
```

Record 4
Calculated X-ray diffraction stick pattern
Compound: TbNdCu2Si2
Radiation: Cu Kα X-rays
Structure: a PBE-relaxed structure
Lines closer than 0.1° are merged.

The 8 most intense peaks (15° ≤ 2θ ≤ 90°), sorted by position:
3.610 Å, 24.7 deg, intensity 29
2.643 Å, 33.9 deg, intensity 100
2.084 Å, 43.4 deg, intensity 39
1.939 Å, 46.8 deg, intensity 10
1.637 Å, 56.2 deg, intensity 23
1.420 Å, 65.8 deg, intensity 21
1.287 Å, 73.6 deg, intensity 21
1.217 Å, 78.6 deg, intensity 8

Structural model:
```
TbNdCu2Si2
1.0
4.169 0.000 0.000
-2.084 3.610 0.000
0.000 0.000 7.757
Tb Nd Cu Si
1 1 2 2
Direct
0.000 0.000 0.000
0.000 0.000 0.500
0.333 0.667 0.762
0.667 0.333 0.238
0.333 0.667 0.241
0.667 0.333 0.759
```

Record 5
Calculated X-ray diffraction stick pattern
Compound: Tm2Os2O7
Radiation: Cu Kα X-rays
Structure: a PBE-relaxed structure
Lines closer than 0.1° are merged.

The 8 most intense peaks (15° ≤ 2θ ≤ 90°), sorted by position:
2.911 Å, 30.7 deg, intensity 100
2.521 Å, 35.6 deg, intensity 37
1.783 Å, 51.2 deg, intensity 45
1.520 Å, 60.9 deg, intensity 43
1.456 Å, 64.0 deg, intensity 10
1.261 Å, 75.4 deg, intensity 7
1.157 Å, 83.6 deg, intensity 15
1.128 Å, 86.3 deg, intensity 14

Structural model:
```
Tm2Os2O7
1.0
5.042 -5.043 0.000
5.042 5.043 0.000
-5.036 0.000 5.042
Tm Os O
4 4 14
Direct
0.001 0.999 0.500
0.499 0.999 0.998
0.999 0.001 0.000
0.999 0.499 0.498
0.001 0.501 0.999
0.498 0.502 0.493
0.501 0.001 0.499
0.502 0.498 0.993
0.124 0.874 0.751
0.156 0.406 0.246
0.161 0.840 0.247
0.165 0.413 0.824
0.406 0.156 0.746
0.410 0.591 0.745
0.413 0.165 0.324
0.585 0.833 0.247
0.591 0.410 0.245
0.593 0.844 0.682
0.833 0.585 0.747
0.840 0.161 0.747
0.844 0.593 0.182
0.874 0.124 0.251
```

Record 6
Calculated X-ray diffraction stick pattern
Compound: Na2TmPbS4
Radiation: Cu Kα X-rays
Structure: a PBE-relaxed structure
Lines closer than 0.1° are merged.

The 8 most intense peaks (15° ≤ 2θ ≤ 90°), sorted by position:
5.656 Å, 15.7 deg, intensity 87
3.517 Å, 25.3 deg, intensity 100
3.363 Å, 26.5 deg, intensity 18
2.890 Å, 30.9 deg, intensity 30
2.378 Å, 37.8 deg, intensity 27
2.277 Å, 39.6 deg, intensity 18
2.063 Å, 43.9 deg, intensity 35
1.970 Å, 46.1 deg, intensity 40

Structural model:
```
Na2TmPbS4
1.0
9.506 0.000 0.000
0.000 10.453 0.000
-4.752 0.000 4.758
Na Tm Pb S
4 2 2 8
Direct
0.000 0.000 0.000
0.000 0.250 0.500
0.500 0.500 0.000
0.500 0.750 0.500
0.000 0.750 0.500
0.500 0.250 0.500
0.000 0.500 0.000
0.500 0.000 0.000
0.228 0.631 0.972
0.244 0.869 0.516
0.256 0.369 0.484
0.272 0.131 0.028
0.728 0.131 0.972
0.744 0.369 0.516
0.756 0.869 0.484
0.772 0.631 0.028
```

Record 7
Calculated X-ray diffraction stick pattern
Compound: PmMg
Radiation: Cu Kα X-rays
Structure: a PBE-relaxed structure
Lines closer than 0.1° are merged.

The 8 most intense peaks (15° ≤ 2θ ≤ 90°), sorted by position:
3.895 Å, 22.8 deg, intensity 62
3.798 Å, 23.4 deg, intensity 29
2.754 Å, 32.5 deg, intensity 52
2.719 Å, 32.9 deg, intensity 100
2.230 Å, 40.5 deg, intensity 28
1.948 Å, 46.6 deg, intensity 19
1.583 Å, 58.3 deg, intensity 38
1.563 Å, 59.1 deg, intensity 18

Structural model:
```
PmMg
1.0
5.504 0.000 0.000
0.000 3.798 0.000
0.000 0.000 5.514
Pm Mg
2 2
Direct
0.250 0.000 0.239
0.750 0.000 0.761
0.250 0.500 0.737
0.750 0.500 0.263
```

Record 8
Calculated X-ray diffraction stick pattern
Compound: ZrF
Radiation: Cu Kα X-rays
Structure: a PBE-relaxed structure
Lines closer than 0.1° are merged.

The 8 most intense peaks (15° ≤ 2θ ≤ 90°), sorted by position:
2.952 Å, 30.3 deg, intensity 100
2.557 Å, 35.1 deg, intensity 30
1.808 Å, 50.5 deg, intensity 47
1.542 Å, 60.0 deg, intensity 40
1.476 Å, 63.0 deg, intensity 8
1.278 Å, 74.2 deg, intensity 7
1.173 Å, 82.2 deg, intensity 16
1.143 Å, 84.8 deg, intensity 10

Structural model:
```
ZrF
1.0
5.114 0.000 0.000
0.000 5.114 0.000
0.000 0.000 5.114
Zr F
4 4
Direct
0.000 0.000 0.000
0.000 0.500 0.500
0.500 0.000 0.500
0.500 0.500 0.000
0.250 0.250 0.250
0.250 0.750 0.750
0.750 0.250 0.750
0.750 0.750 0.250
```